Starting from a DFT-relaxed cell (PBE+U, Alexandria), the powder diffractogram of KRb2MoO3F3 was simulated for Cu Kα (λ = 1.5418 Å).
Intensities are scaled so that the largest is 100.

Crystal structure
```
data_KRb2MoO3F3
_space_group_name_H-M_alt 'P 42 n m'
_space_group_IT_number 102
_cell_length_a 6.402
_cell_length_b 6.402
_cell_length_c 9.277
_cell_angle_alpha 90.00
_cell_angle_beta 90.00
_cell_angle_gamma 90.00
loop_
_space_group_symop_operation_xyz
'x,y,z'
'-y+1/2,x+1/2,z+1/2'
'-x,-y,z'
'y+1/2,-x+1/2,z+1/2'
'-x+1/2,y+1/2,z+1/2'
'y,x,z'
'x+1/2,-y+1/2,z+1/2'
'-y,-x,z'
loop_
_atom_site_label
_atom_site_fract_x
_atom_site_fract_y
_atom_site_fract_z
K1 0.000 0.000 0.000
Rb1 0.000 0.500 0.238
Mo1 0.000 0.000 0.486
O1 0.000 0.000 0.294
O2 0.199 0.199 0.525
F1 0.000 0.000 0.727
F2 0.223 0.777 0.502
```

Most intense lines, 2θ = 10–90°, by angle:
2theta	I (rel.)
16.8	27.8
27.5	100.0
27.9	48.9
39.8	36.6
49.1	35.6
56.8	21.1